# 1
For PrZn6Au6, a structure optimized by DFT (GGA-PBE) gives the computed XRD peak list in this record (λ = 1.5418 Å (Cu Kα)).
Neutral-atom scattering factors, no anomalous dispersion.

Most intense lines, 2θ = 10–80°, low angle first:
| 2θ/deg | Rel. int. |
| --- | --- |
| 33.0 | 100 |
| 34.0 | 69 |
| 38.6 | 75 |
| 39.1 | 56 |
| 39.5 | 65 |
| 42.9 | 29 |
| 44.0 | 65 |
| 69.1 | 30 |
| 70.9 | 34 |
| 71.6 | 30 |

Crystal structure
```
data_PrZn6Au6
_cell_length_a 7.102
_cell_length_b 7.102
_cell_length_c 7.102
_cell_angle_alpha 136.43
_cell_angle_beta 99.93
_cell_angle_gamma 95.91
_symmetry_space_group_name_H-M 'P 1'
_symmetry_Int_Tables_number 1
_symmetry_space_group_name_Hall 'P 1'
loop_
_atom_site_label
_atom_site_type_symbol
_atom_site_fract_x
_atom_site_fract_y
_atom_site_fract_z
_atom_site_occupancy
Pr1 Pr 0.000 0.000 0.000 1
Zn1 Zn 0.000 0.000 0.500 1
Zn2 Zn 0.000 0.500 0.000 1
Zn3 Zn 0.241 0.500 0.741 1
Zn4 Zn 0.500 0.000 0.000 1
Zn5 Zn 0.500 0.500 0.500 1
Zn6 Zn 0.759 0.500 0.259 1
Au1 Au 0.181 0.681 0.500 1
Au2 Au 0.339 0.000 0.339 1
Au3 Au 0.343 0.343 0.000 1
Au4 Au 0.657 0.657 0.000 1
Au5 Au 0.661 0.000 0.661 1
Au6 Au 0.819 0.319 0.500 1
```

# 2
For Pr2Zn5Au, a structure optimized by DFT (GGA-PBE) gives the computed XRD peak list in this record (λ = 1.5418 Å (Cu Kα)).
Neutral-atom scattering factors, no anomalous dispersion.

Most intense lines, 2θ = 10–80°, low angle first:
| 2θ/deg | Rel. int. |
| --- | --- |
| 28.8 | 53 |
| 32.6 | 100 |
| 33.7 | 75 |
| 36.5 | 28 |
| 38.0 | 24 |
| 39.9 | 22 |
| 41.0 | 48 |
| 44.4 | 35 |
| 45.5 | 26 |
| 62.0 | 19 |

Crystal structure
```
data_Pr2Zn5Au
_cell_length_a 8.616
_cell_length_b 8.616
_cell_length_c 9.045
_cell_angle_alpha 90.00
_cell_angle_beta 90.00
_cell_angle_gamma 150.39
_symmetry_space_group_name_H-M 'P 1'
_symmetry_Int_Tables_number 1
_symmetry_space_group_name_Hall 'P 1'
loop_
_atom_site_label
_atom_site_type_symbol
_atom_site_fract_x
_atom_site_fract_y
_atom_site_fract_z
_atom_site_occupancy
Pr1 Pr 0.000 0.000 0.000 1
Pr2 Pr 0.000 0.000 0.500 1
Pr3 Pr 0.200 0.800 0.750 1
Pr4 Pr 0.800 0.200 0.250 1
Zn1 Zn 0.186 0.814 0.109 1
Zn2 Zn 0.186 0.814 0.391 1
Zn3 Zn 0.346 0.654 0.019 1
Zn4 Zn 0.346 0.654 0.481 1
Zn5 Zn 0.397 0.603 0.750 1
Zn6 Zn 0.603 0.397 0.250 1
Zn7 Zn 0.654 0.346 0.519 1
Zn8 Zn 0.654 0.346 0.981 1
Zn9 Zn 0.814 0.186 0.609 1
Zn10 Zn 0.814 0.186 0.891 1
Au1 Au 0.447 0.553 0.250 1
Au2 Au 0.553 0.447 0.750 1
```

# 3
For Pr3Zn2Au, a structure optimized by DFT (GGA-PBE) gives the computed XRD peak list in this record (λ = 1.5418 Å (Cu Kα)).
Neutral-atom scattering factors, no anomalous dispersion.

Most intense lines, 2θ = 10–80°, low angle first:
| 2θ/deg | Rel. int. |
| --- | --- |
| 13.7 | 7 |
| 19.5 | 10 |
| 23.8 | 10 |
| 33.9 | 100 |
| 34.0 | 99 |
| 48.8 | 36 |
| 60.6 | 19 |
| 60.9 | 55 |
| 71.4 | 12 |
| 71.7 | 11 |

Crystal structure
```
data_Pr3Zn2Au
_cell_length_a 5.268
_cell_length_b 5.268
_cell_length_c 6.485
_cell_angle_alpha 90.00
_cell_angle_beta 90.00
_cell_angle_gamma 120.00
_symmetry_space_group_name_H-M 'P 1'
_symmetry_Int_Tables_number 1
_symmetry_space_group_name_Hall 'P 1'
loop_
_atom_site_label
_atom_site_type_symbol
_atom_site_fract_x
_atom_site_fract_y
_atom_site_fract_z
_atom_site_occupancy
Pr1 Pr 0.000 0.000 0.000 1
Pr2 Pr 0.333 0.667 0.663 1
Pr3 Pr 0.667 0.333 0.337 1
Zn1 Zn 0.333 0.667 0.150 1
Zn2 Zn 0.667 0.333 0.850 1
Au1 Au 0.000 0.000 0.500 1
```

# 4
For Pr3Zn3Au, a structure optimized by DFT (GGA-PBE) gives the computed XRD peak list in this record (λ = 1.5418 Å (Cu Kα)).
Neutral-atom scattering factors, no anomalous dispersion.

Most intense lines, 2θ = 10–80°, low angle first:
| 2θ/deg | Rel. int. |
| --- | --- |
| 23.5 | 16 |
| 32.1 | 100 |
| 32.5 | 54 |
| 35.7 | 18 |
| 36.8 | 51 |
| 39.4 | 33 |
| 41.0 | 17 |
| 48.5 | 19 |
| 52.0 | 29 |
| 62.4 | 23 |

Crystal structure
```
data_Pr3Zn3Au
_cell_length_a 10.544
_cell_length_b 10.544
_cell_length_c 10.544
_cell_angle_alpha 159.50
_cell_angle_beta 154.96
_cell_angle_gamma 32.57
_symmetry_space_group_name_H-M 'P 1'
_symmetry_Int_Tables_number 1
_symmetry_space_group_name_Hall 'P 1'
loop_
_atom_site_label
_atom_site_type_symbol
_atom_site_fract_x
_atom_site_fract_y
_atom_site_fract_z
_atom_site_occupancy
Pr1 Pr 0.000 0.000 0.000 1
Pr2 Pr 0.382 0.382 0.000 1
Pr3 Pr 0.693 0.193 0.500 1
Zn1 Zn 0.123 0.623 0.500 1
Zn2 Zn 0.555 0.555 0.000 1
Zn3 Zn 0.832 0.832 0.000 1
Au1 Au 0.256 0.756 0.500 1
```

# 5
For PrZn3Au10, a structure optimized by DFT (GGA-PBE) gives the computed XRD peak list in this record (λ = 1.5418 Å (Cu Kα)).
Neutral-atom scattering factors, no anomalous dispersion.

Most intense lines, 2θ = 10–80°, low angle first:
| 2θ/deg | Rel. int. |
| --- | --- |
| 30.7 | 28 |
| 35.8 | 100 |
| 39.1 | 27 |
| 41.0 | 52 |
| 41.6 | 13 |
| 46.2 | 19 |
| 60.2 | 24 |
| 61.6 | 13 |
| 65.2 | 15 |
| 70.8 | 20 |

Crystal structure
```
data_PrZn3Au10
_cell_length_a 9.219
_cell_length_b 9.219
_cell_length_c 9.219
_cell_angle_alpha 60.00
_cell_angle_beta 60.00
_cell_angle_gamma 60.00
_symmetry_space_group_name_H-M 'P 1'
_symmetry_Int_Tables_number 1
_symmetry_space_group_name_Hall 'P 1'
loop_
_atom_site_label
_atom_site_type_symbol
_atom_site_fract_x
_atom_site_fract_y
_atom_site_fract_z
_atom_site_occupancy
Pr1 Pr 0.250 0.250 0.250 1
Pr2 Pr 0.750 0.750 0.750 1
Zn1 Zn 0.235 0.235 0.765 1
Zn2 Zn 0.235 0.765 0.235 1
Zn3 Zn 0.235 0.765 0.765 1
Zn4 Zn 0.765 0.235 0.235 1
Zn5 Zn 0.765 0.235 0.765 1
Zn6 Zn 0.765 0.765 0.235 1
Au1 Au 0.115 0.115 0.115 1
Au2 Au 0.115 0.115 0.654 1
Au3 Au 0.115 0.654 0.115 1
Au4 Au 0.153 0.500 0.500 1
Au5 Au 0.153 0.500 0.847 1
Au6 Au 0.153 0.847 0.500 1
Au7 Au 0.346 0.885 0.885 1
Au8 Au 0.500 0.153 0.500 1
Au9 Au 0.500 0.153 0.847 1
Au10 Au 0.500 0.500 0.153 1
Au11 Au 0.500 0.500 0.847 1
Au12 Au 0.500 0.847 0.153 1
Au13 Au 0.500 0.847 0.500 1
Au14 Au 0.654 0.115 0.115 1
Au15 Au 0.847 0.153 0.500 1
Au16 Au 0.847 0.500 0.153 1
Au17 Au 0.847 0.500 0.500 1
Au18 Au 0.885 0.346 0.885 1
Au19 Au 0.885 0.885 0.346 1
Au20 Au 0.885 0.885 0.885 1
```

# 6
For Pr2Zn16Au, a structure optimized by DFT (GGA-PBE) gives the computed XRD peak list in this record (λ = 1.5418 Å (Cu Kα)).
Neutral-atom scattering factors, no anomalous dispersion.

Most intense lines, 2θ = 10–80°, low angle first:
| 2θ/deg | Rel. int. |
| --- | --- |
| 34.2 | 62 |
| 35.2 | 43 |
| 39.6 | 89 |
| 39.9 | 100 |
| 40.6 | 62 |
| 40.8 | 34 |
| 44.8 | 46 |
| 58.0 | 25 |
| 71.9 | 33 |
| 73.3 | 28 |

Crystal structure
```
data_Pr2Zn16Au
_cell_length_a 6.884
_cell_length_b 6.884
_cell_length_c 6.884
_cell_angle_alpha 82.68
_cell_angle_beta 82.68
_cell_angle_gamma 82.68
_symmetry_space_group_name_H-M 'P 1'
_symmetry_Int_Tables_number 1
_symmetry_space_group_name_Hall 'P 1'
loop_
_atom_site_label
_atom_site_type_symbol
_atom_site_fract_x
_atom_site_fract_y
_atom_site_fract_z
_atom_site_occupancy
Pr1 Pr 0.000 0.000 0.000 1
Pr2 Pr 0.326 0.326 0.326 1
Zn1 Zn 0.014 0.014 0.501 1
Zn2 Zn 0.014 0.501 0.014 1
Zn3 Zn 0.165 0.662 0.662 1
Zn4 Zn 0.312 0.312 0.825 1
Zn5 Zn 0.312 0.825 0.312 1
Zn6 Zn 0.370 0.663 0.956 1
Zn7 Zn 0.370 0.956 0.663 1
Zn8 Zn 0.501 0.014 0.014 1
Zn9 Zn 0.561 0.561 0.561 1
Zn10 Zn 0.662 0.165 0.662 1
Zn11 Zn 0.662 0.662 0.165 1
Zn12 Zn 0.663 0.370 0.956 1
Zn13 Zn 0.663 0.956 0.370 1
Zn14 Zn 0.825 0.312 0.312 1
Zn15 Zn 0.956 0.370 0.663 1
Zn16 Zn 0.956 0.663 0.370 1
Au1 Au 0.763 0.763 0.763 1
```

# 7
For Pt2Au3, a structure optimized by DFT (GGA-PBE) gives the computed XRD peak list in this record (λ = 1.5418 Å (Cu Kα)).
Neutral-atom scattering factors, no anomalous dispersion.

Most intense lines, 2θ = 10–80°, low angle first:
| 2θ/deg | Rel. int. |
| --- | --- |
| 29.9 | 1 |
| 37.7 | 34 |
| 38.3 | 100 |
| 44.4 | 66 |
| 57.3 | 1 |
| 64.1 | 22 |
| 65.0 | 22 |
| 76.8 | 13 |
| 77.6 | 26 |
| 78.0 | 13 |

Crystal structure
```
data_Pt2Au3
_cell_length_a 12.055
_cell_length_b 12.055
_cell_length_c 12.055
_cell_angle_alpha 13.68
_cell_angle_beta 13.68
_cell_angle_gamma 13.68
_symmetry_space_group_name_H-M 'P 1'
_symmetry_Int_Tables_number 1
_symmetry_space_group_name_Hall 'P 1'
loop_
_atom_site_label
_atom_site_type_symbol
_atom_site_fract_x
_atom_site_fract_y
_atom_site_fract_z
_atom_site_occupancy
Pt1 Pt 0.198 0.198 0.198 1
Pt2 Pt 0.802 0.802 0.802 1
Au1 Au 0.000 0.000 0.000 1
Au2 Au 0.402 0.402 0.402 1
Au3 Au 0.598 0.598 0.598 1
```

# 8
For PtAu6, a structure optimized by DFT (GGA-PBE) gives the computed XRD peak list in this record (λ = 1.5418 Å (Cu Kα)).
Neutral-atom scattering factors, no anomalous dispersion.

Most intense lines, 2θ = 10–80°, low angle first:
| 2θ/deg | Rel. int. |
| --- | --- |
| 37.7 | 100 |
| 43.6 | 17 |
| 43.8 | 16 |
| 44.0 | 16 |
| 63.4 | 11 |
| 63.7 | 16 |
| 76.1 | 13 |
| 76.3 | 7 |
| 76.4 | 7 |
| 76.7 | 7 |

Crystal structure
```
data_PtAu6
_cell_length_a 5.047
_cell_length_b 5.047
_cell_length_c 6.542
_cell_angle_alpha 97.55
_cell_angle_beta 97.55
_cell_angle_gamma 48.63
_symmetry_space_group_name_H-M 'P 1'
_symmetry_Int_Tables_number 1
_symmetry_space_group_name_Hall 'P 1'
loop_
_atom_site_label
_atom_site_type_symbol
_atom_site_fract_x
_atom_site_fract_y
_atom_site_fract_z
_atom_site_occupancy
Pt1 Pt 0.000 0.000 0.000 1
Au1 Au 0.142 0.142 0.426 1
Au2 Au 0.285 0.285 0.858 1
Au3 Au 0.430 0.430 0.281 1
Au4 Au 0.570 0.570 0.719 1
Au5 Au 0.715 0.715 0.142 1
Au6 Au 0.858 0.858 0.574 1
```

# 9
For PtAu8, a structure optimized by DFT (GGA-PBE) gives the computed XRD peak list in this record (λ = 1.5418 Å (Cu Kα)).
Neutral-atom scattering factors, no anomalous dispersion.

Most intense lines, 2θ = 10–80°, low angle first:
| 2θ/deg | Rel. int. |
| --- | --- |
| 36.6 | 63 |
| 40.0 | 100 |
| 52.7 | 23 |
| 62.6 | 7 |
| 68.1 | 42 |
| 74.7 | 16 |
| 77.8 | 7 |

Crystal structure
```
data_PtAu8
_cell_length_a 7.514
_cell_length_b 7.514
_cell_length_c 7.514
_cell_angle_alpha 92.24
_cell_angle_beta 92.24
_cell_angle_gamma 157.21
_symmetry_space_group_name_H-M 'P 1'
_symmetry_Int_Tables_number 1
_symmetry_space_group_name_Hall 'P 1'
loop_
_atom_site_label
_atom_site_type_symbol
_atom_site_fract_x
_atom_site_fract_y
_atom_site_fract_z
_atom_site_occupancy
Pt1 Pt 0.000 0.000 0.000 1
Au1 Au 0.000 0.333 0.333 1
Au2 Au 0.000 0.667 0.667 1
Au3 Au 0.333 0.000 0.333 1
Au4 Au 0.335 0.335 0.670 1
Au5 Au 0.335 0.665 0.000 1
Au6 Au 0.665 0.335 0.000 1
Au7 Au 0.665 0.665 0.330 1
Au8 Au 0.667 0.000 0.667 1
```

# 10
For Pt13Au3, a structure optimized by DFT (GGA-PBE) gives the computed XRD peak list in this record (λ = 1.5418 Å (Cu Kα)).
Neutral-atom scattering factors, no anomalous dispersion.

Most intense lines, 2θ = 10–80°, low angle first:
| 2θ/deg | Rel. int. |
| --- | --- |
| 38.9 | 100 |
| 44.6 | 34 |
| 46.6 | 15 |
| 64.9 | 11 |
| 66.5 | 21 |
| 78.3 | 13 |
| 78.4 | 13 |

Crystal structure
```
data_Pt13Au3
_cell_length_a 7.797
_cell_length_b 5.748
_cell_length_c 5.748
_cell_angle_alpha 89.91
_cell_angle_beta 90.00
_cell_angle_gamma 90.00
_symmetry_space_group_name_H-M 'P 1'
_symmetry_Int_Tables_number 1
_symmetry_space_group_name_Hall 'P 1'
loop_
_atom_site_label
_atom_site_type_symbol
_atom_site_fract_x
_atom_site_fract_y
_atom_site_fract_z
_atom_site_occupancy
Pt1 Pt 0.000 0.000 0.000 1
Pt2 Pt 0.000 0.506 0.506 1
Pt3 Pt 0.000 0.509 0.998 1
Pt4 Pt 0.000 0.998 0.509 1
Pt5 Pt 0.248 0.257 0.750 1
Pt6 Pt 0.248 0.750 0.257 1
Pt7 Pt 0.250 0.754 0.754 1
Pt8 Pt 0.500 0.506 0.506 1
Pt9 Pt 0.500 0.510 0.998 1
Pt10 Pt 0.500 0.998 0.510 1
Pt11 Pt 0.750 0.754 0.754 1
Pt12 Pt 0.752 0.257 0.750 1
Pt13 Pt 0.752 0.750 0.257 1
Au1 Au 0.249 0.253 0.253 1
Au2 Au 0.500 0.006 0.006 1
Au3 Au 0.751 0.253 0.253 1
```

# 11
For Pt2Au13, a structure optimized by DFT (GGA-PBE) gives the computed XRD peak list in this record (λ = 1.5418 Å (Cu Kα)).
Neutral-atom scattering factors, no anomalous dispersion.

Most intense lines, 2θ = 10–80°, low angle first:
| 2θ/deg | Rel. int. |
| --- | --- |
| 12.7 | 31 |
| 14.0 | 64 |
| 27.3 | 38 |
| 36.2 | 40 |
| 37.0 | 23 |
| 38.8 | 40 |
| 40.0 | 100 |
| 42.1 | 71 |
| 43.0 | 31 |
| 73.9 | 21 |

Crystal structure
```
data_Pt2Au13
_cell_length_a 8.239
_cell_length_b 8.239
_cell_length_c 8.239
_cell_angle_alpha 55.22
_cell_angle_beta 55.22
_cell_angle_gamma 55.22
_symmetry_space_group_name_H-M 'P 1'
_symmetry_Int_Tables_number 1
_symmetry_space_group_name_Hall 'P 1'
loop_
_atom_site_label
_atom_site_type_symbol
_atom_site_fract_x
_atom_site_fract_y
_atom_site_fract_z
_atom_site_occupancy
Pt1 Pt 0.227 0.227 0.227 1
Pt2 Pt 0.773 0.773 0.773 1
Au1 Au 0.000 0.000 0.000 1
Au2 Au 0.014 0.014 0.643 1
Au3 Au 0.014 0.643 0.014 1
Au4 Au 0.226 0.226 0.585 1
Au5 Au 0.226 0.585 0.226 1
Au6 Au 0.357 0.986 0.986 1
Au7 Au 0.415 0.774 0.774 1
Au8 Au 0.585 0.226 0.226 1
Au9 Au 0.643 0.014 0.014 1
Au10 Au 0.774 0.415 0.774 1
Au11 Au 0.774 0.774 0.415 1
Au12 Au 0.986 0.357 0.986 1
Au13 Au 0.986 0.986 0.357 1
```

# 12
For PtAu3, a structure optimized by DFT (GGA-PBE) gives the computed XRD peak list in this record (λ = 1.5418 Å (Cu Kα)).
Neutral-atom scattering factors, no anomalous dispersion.

Most intense lines, 2θ = 10–80°, low angle first:
| 2θ/deg | Rel. int. |
| --- | --- |
| 36.0 | 22 |
| 36.1 | 12 |
| 37.0 | 42 |
| 40.6 | 100 |
| 40.7 | 47 |
| 52.6 | 24 |
| 64.8 | 17 |
| 69.1 | 31 |
| 77.0 | 21 |
| 79.2 | 14 |

Crystal structure
```
data_PtAu3
_cell_length_a 4.862
_cell_length_b 5.773
_cell_length_c 4.976
_cell_angle_alpha 90.00
_cell_angle_beta 90.00
_cell_angle_gamma 90.00
_symmetry_space_group_name_H-M 'P 1'
_symmetry_Int_Tables_number 1
_symmetry_space_group_name_Hall 'P 1'
loop_
_atom_site_label
_atom_site_type_symbol
_atom_site_fract_x
_atom_site_fract_y
_atom_site_fract_z
_atom_site_occupancy
Pt1 Pt 0.250 0.250 0.173 1
Pt2 Pt 0.750 0.750 0.827 1
Au1 Au 0.250 0.000 0.670 1
Au2 Au 0.250 0.500 0.670 1
Au3 Au 0.250 0.750 0.163 1
Au4 Au 0.750 0.000 0.330 1
Au5 Au 0.750 0.250 0.837 1
Au6 Au 0.750 0.500 0.330 1
```